This entry pairs a crystal structure of Cs2NpCdF6 with its simulated PXRD pattern. Radiation: Cu Ka. Structure: DFT lattice parameters and positions (PBE).

Largest 10 diffraction maxima, by intensity, 2θ = 15–90°:
2theta  I/Imax
24.34  100
25.77  26
18.97  22
21.84  20
44.59  20
35.19  19
35.35  17
52.96  16
34.03  15
36.67  14

Structural model:
Unit cell a=6.914 b=10.157 c=8.138 alpha=90.00 beta=90.00 gamma=90.00
Sites, in units of the cell vectors:
Cs 0.250 0.015 0.223
Cs 0.250 0.485 0.223
Cs 0.750 0.515 0.777
Cs 0.750 0.985 0.777
Np 0.250 0.750 0.841
Np 0.750 0.250 0.159
Cd 0.250 0.250 0.680
Cd 0.750 0.750 0.320
F 0.012 0.750 0.667
F 0.037 0.750 0.036
F 0.250 0.536 0.851
F 0.250 0.964 0.851
F 0.463 0.750 0.036
F 0.488 0.750 0.667
F 0.512 0.250 0.333
F 0.537 0.250 0.964
F 0.750 0.036 0.149
F 0.750 0.464 0.149
F 0.963 0.250 0.964
F 0.988 0.250 0.333

This entry pairs a crystal structure of CsRbCdF4 with its simulated PXRD pattern. Radiation: Cu Ka. Structure: DFT lattice parameters and positions (PBE).

Largest 10 diffraction maxima, by intensity, 2θ = 15–90°:
2theta  I/Imax
26.94  100
27.78  67
48.63  40
39.70  39
47.07  20
55.54  19
37.22  16
36.78  14
57.39  12
64.94  12

Structural model:
Unit cell a=7.927 b=7.927 c=7.927 alpha=146.71 beta=146.71 gamma=47.79
Sites, in units of the cell vectors:
Cs 0.000 0.000 0.000
Rb 0.708 0.708 0.000
Cd 0.352 0.352 0.000
F 0.198 0.198 0.000
F 0.347 0.847 0.500
F 0.508 0.508 0.000
F 0.847 0.347 0.500

This entry pairs a crystal structure of Cs3RbCd2F8 with its simulated PXRD pattern. Radiation: Cu Ka. Structure: DFT lattice parameters and positions (PBE).

Largest 10 diffraction maxima, by intensity, 2θ = 15–90°:
2theta  I/Imax
25.95  100
25.34  77
36.59  45
45.41  31
45.78  21
53.37  19
44.28  16
59.05  14
59.98  14
34.36  13

Structural model:
Unit cell a=6.866 b=6.866 c=8.714 alpha=90.00 beta=90.00 gamma=120.00
Sites, in units of the cell vectors:
Cs 0.000 0.000 0.000
Cs 0.333 0.667 0.630
Cs 0.667 0.333 0.370
Rb 0.000 0.000 0.500
Cd 0.333 0.667 0.185
Cd 0.667 0.333 0.815
F 0.173 0.346 0.300
F 0.173 0.827 0.300
F 0.333 0.667 0.944
F 0.346 0.173 0.700
F 0.654 0.827 0.300
F 0.667 0.333 0.056
F 0.827 0.173 0.700
F 0.827 0.654 0.700

This entry pairs a crystal structure of CsCdRuF6 with its simulated PXRD pattern. Radiation: Cu Ka. Structure: DFT lattice parameters and positions (PBE).

Largest 10 diffraction maxima, by intensity, 2θ = 15–90°:
2theta  I/Imax
26.85  100
26.67  51
46.56  42
28.13  25
27.87  25
42.64  20
42.37  20
22.80  18
46.84  12
54.76  11

Structural model:
Unit cell a=7.802 b=7.802 c=7.802 alpha=120.37 beta=119.45 gamma=90.16
Sites, in units of the cell vectors:
Cs 0.369 0.119 0.250
Cs 0.631 0.881 0.750
Cd 0.000 0.500 0.500
Cd 0.500 0.500 0.000
Ru 0.000 0.000 0.500
Ru 0.000 0.500 0.000
F 0.055 0.805 0.250
F 0.059 0.400 0.210
F 0.059 0.850 0.660
F 0.310 0.150 0.710
F 0.310 0.600 0.160
F 0.342 0.592 0.750
F 0.658 0.408 0.250
F 0.690 0.400 0.840
F 0.690 0.850 0.290
F 0.941 0.150 0.340
F 0.941 0.600 0.790
F 0.945 0.195 0.750

This entry pairs a crystal structure of CsTiCdF6 with its simulated PXRD pattern. Radiation: Cu Ka. Structure: DFT lattice parameters and positions (PBE).

Largest 10 diffraction maxima, by intensity, 2θ = 15–90°:
2theta  I/Imax
26.76  100
27.10  48
28.09  37
46.84  36
22.92  27
42.43  18
22.69  16
46.31  13
42.74  13
35.63  12

Structural model:
Unit cell a=7.760 b=7.760 c=7.760 alpha=119.54 beta=119.30 gamma=91.01
Sites, in units of the cell vectors:
Cs 0.385 0.135 0.250
Cs 0.615 0.865 0.750
Ti 0.000 0.500 0.500
Ti 0.500 0.500 0.000
Cd 0.000 0.000 0.500
Cd 0.000 0.500 0.000
F 0.096 0.846 0.250
F 0.109 0.449 0.303
F 0.109 0.806 0.660
F 0.270 0.520 0.750
F 0.354 0.194 0.803
F 0.354 0.551 0.160
F 0.646 0.449 0.840
F 0.646 0.806 0.197
F 0.730 0.480 0.250
F 0.891 0.194 0.340
F 0.891 0.551 0.697
F 0.904 0.154 0.750

This entry pairs a crystal structure of Cs4TlCd3F12 with its simulated PXRD pattern. Radiation: Cu Ka. Structure: DFT lattice parameters and positions (PBE).

Largest 10 diffraction maxima, by intensity, 2θ = 15–90°:
2theta  I/Imax
27.31  100
48.26  42
39.00  33
56.34  22
77.29  22
63.71  19
70.64  7
83.77  3
33.61  2
23.59  2

Structural model:
Unit cell a=8.000 b=8.000 c=8.000 alpha=109.47 beta=109.47 gamma=109.47
Sites, in units of the cell vectors:
Cs 0.000 0.000 0.500
Cs 0.000 0.500 0.000
Cs 0.500 0.000 0.000
Cs 0.500 0.500 0.500
Tl 0.000 0.000 0.000
Cd 0.000 0.500 0.500
Cd 0.500 0.000 0.500
Cd 0.500 0.500 0.000
F 0.000 0.258 0.258
F 0.000 0.742 0.742
F 0.250 0.500 0.750
F 0.250 0.750 0.500
F 0.258 0.000 0.258
F 0.258 0.258 0.000
F 0.500 0.250 0.750
F 0.500 0.750 0.250
F 0.742 0.000 0.742
F 0.742 0.742 0.000
F 0.750 0.250 0.500
F 0.750 0.500 0.250